No. 1
Diffraction record for PrInGaAu2. The X-ray diffraction stick pattern is theoretical, not measured: it uses a DFT-relaxed cell (GGA-PBE, OQMD) and Cu Kα, 1.54184 Å.

Cell and atoms:
Cell: 4.490 4.490 11.175 Å, 90.00 90.00 90.00°
Fractional positions:
Pr 0.250 0.250 0.233
Pr 0.750 0.750 0.767
In 0.250 0.750 0.500
In 0.750 0.250 0.500
Ga 0.250 0.250 0.877
Ga 0.750 0.750 0.123
Au 0.250 0.250 0.654
Au 0.250 0.750 0.000
Au 0.750 0.250 0.000
Au 0.750 0.750 0.346

Peak list (6 most intense, 2θ = 10–90°, low angle first)
Position (°2θ)	Rel. int.
31.2	22.8
32.4	100.0
40.2	54.7
43.1	28.2
45.3	19.7
68.1	23.5

***

No. 2
Diffraction record for HfCoSi2Ni. The X-ray diffraction stick pattern is theoretical, not measured: it uses a DFT-relaxed cell (GGA-PBE, OQMD) and Cu Kα, 1.54184 Å.

Cell and atoms:
Cell: 5.498 5.498 5.498 Å, 140.40 140.40 57.25°
Fractional positions:
Hf 0.000 0.000 0.000
Co 0.750 0.250 0.500
Si 0.381 0.381 0.000
Si 0.619 0.619 0.000
Ni 0.250 0.750 0.500

Peak list (6 most intense, 2θ = 10–90°, low angle first)
Position (°2θ)	Rel. int.
25.6	55.0
36.9	55.0
39.0	100.0
48.9	35.2
53.5	21.0
62.8	23.4

***

No. 3
Diffraction record for Ni2GeP. The X-ray diffraction stick pattern is theoretical, not measured: it uses a DFT-relaxed cell (GGA-PBE, OQMD) and Cu Kα, 1.54184 Å.

Cell and atoms:
Cell: 4.984 14.008 6.077 Å, 90.00 90.00 90.00°
Fractional positions:
Ni 0.003 0.075 0.233
Ni 0.003 0.198 0.760
Ni 0.003 0.302 0.260
Ni 0.003 0.425 0.733
Ni 0.497 0.575 0.233
Ni 0.497 0.698 0.760
Ni 0.497 0.802 0.260
Ni 0.497 0.925 0.733
Ni 0.503 0.075 0.267
Ni 0.503 0.198 0.740
Ni 0.503 0.302 0.240
Ni 0.503 0.425 0.767
Ni 0.997 0.575 0.267
Ni 0.997 0.698 0.740
Ni 0.997 0.802 0.240
Ni 0.997 0.925 0.767
Ge 0.231 0.060 0.593
Ge 0.231 0.440 0.093
Ge 0.269 0.560 0.593
Ge 0.269 0.940 0.093
Ge 0.731 0.060 0.907
Ge 0.731 0.440 0.407
Ge 0.769 0.560 0.907
Ge 0.769 0.940 0.407
P 0.236 0.686 0.071
P 0.236 0.814 0.571
P 0.264 0.186 0.071
P 0.264 0.314 0.571
P 0.736 0.686 0.429
P 0.736 0.814 0.929
P 0.764 0.186 0.429
P 0.764 0.314 0.929

Peak list (6 most intense, 2θ = 10–90°, low angle first)
Position (°2θ)	Rel. int.
29.4	33.1
34.6	65.3
47.2	100.0
52.2	56.8
64.1	9.9
73.0	21.3

***

No. 4
Diffraction record for Ta3AgSb5. The X-ray diffraction stick pattern is theoretical, not measured: it uses a DFT-relaxed cell (GGA-PBE, OQMD) and Cu Kα, 1.54184 Å.

Cell and atoms:
Cell: 5.708 5.708 8.498 Å, 90.00 90.00 120.00°
Fractional positions:
Ta 0.000 0.500 0.000
Ta 0.500 0.000 0.000
Ta 0.500 0.500 0.000
Ag 0.000 0.000 0.500
Sb 0.000 0.000 0.000
Sb 0.333 0.667 0.287
Sb 0.333 0.667 0.713
Sb 0.667 0.333 0.287
Sb 0.667 0.333 0.713

Peak list (6 most intense, 2θ = 10–90°, low angle first)
Position (°2θ)	Rel. int.
10.4	91.6
27.7	24.2
31.3	34.3
31.6	27.9
37.9	70.3
42.3	100.0

***

No. 5
Diffraction record for Sm3Te2P. The X-ray diffraction stick pattern is theoretical, not measured: it uses a DFT-relaxed cell (GGA-PBE, OQMD) and Cu Kα, 1.54184 Å.

Cell and atoms:
Cell: 4.270 4.270 10.944 Å, 90.00 90.00 120.00°
Fractional positions:
Sm 0.000 0.000 0.000
Sm 0.333 0.667 0.636
Sm 0.667 0.333 0.364
Te 0.333 0.667 0.176
Te 0.667 0.333 0.824
P 0.000 0.000 0.500

Peak list (6 most intense, 2θ = 10–90°, low angle first)
Position (°2θ)	Rel. int.
25.4	14.0
29.1	100.0
41.0	31.1
42.3	36.9
52.2	19.5
69.4	16.5